1.
# Ac7La2Pm3
Calculated powder XRD pattern, a wavelength of 1.5418 Å. Input: the GGA-PBE geometry in Alexandria.

Structural model:
```
12
Lattice="7.008 0.000 0.000 0.000 3.802 0.000 -1.916 0.000 18.563" Properties=species:S:1:pos:R:3 pbc="T T T"
Ac 0.000 0.000 0.000
Ac 1.280 1.901 3.239
Ac 0.829 1.901 9.166
Ac 0.369 0.000 15.459
Ac 4.723 0.000 3.104
Ac 4.263 1.901 9.397
Ac 3.813 1.901 15.324
La -0.851 1.901 12.411
La 5.943 1.901 6.152
Pm 2.574 0.000 6.347
Pm 3.504 1.901 0.000
Pm 2.518 0.000 12.216
```

Peak list (10 most intense, 10 to 80 degrees two-theta, sorted by position)
2θ/deg  I_rel
27.38  34
28.06  47
28.86  100
30.71  40
32.25  47
44.67  16
45.58  21
48.92  17
56.84  16
57.95  18

2.
# AcLa2Pm5
Calculated powder XRD pattern, a wavelength of 1.5418 Å. Input: the GGA-PBE geometry in Alexandria.

Structural model:
```
16
Lattice="7.408 0.000 0.000 0.000 14.829 0.000 0.000 0.000 5.289" Properties=species:S:1:pos:R:3 pbc="T T T"
Ac 0.000 0.000 0.000
Ac 3.704 7.414 0.000
La 1.819 5.521 2.645
La 1.885 12.936 2.645
La 5.523 1.893 2.645
La 5.589 9.307 2.645
Pm 0.000 7.414 0.000
Pm 0.027 11.080 0.000
Pm 1.843 1.878 2.645
Pm 1.861 9.293 2.645
Pm 3.677 3.665 0.000
Pm 3.704 0.000 0.000
Pm 3.730 11.163 0.000
Pm 5.547 5.536 2.645
Pm 5.565 12.951 2.645
Pm 7.381 3.749 0.000
```

Peak list (10 most intense, 10 to 80 degrees two-theta, sorted by position)
2θ/deg  I_rel
29.43  100
33.90  17
34.22  34
48.94  25
49.18  12
57.93  15
58.35  29
61.07  13
79.35  12
79.72  6

3.
# AcLa3Pm3
Calculated powder XRD pattern, a wavelength of 1.5418 Å. Input: the GGA-PBE geometry in Alexandria.

Structural model:
```
14
Lattice="10.015 0.000 0.000 -5.007 8.673 0.000 0.000 0.000 6.042" Properties=species:S:1:pos:R:3 pbc="T T T"
Ac 0.000 5.782 1.511
Ac 5.007 2.891 4.532
La -1.404 4.058 4.532
La -0.791 7.860 4.532
La 2.812 3.245 1.511
La 2.195 5.428 4.532
La 5.798 0.813 1.511
La 6.411 4.615 1.511
Pm -0.714 2.005 1.511
Pm -2.914 8.289 1.511
Pm 1.379 1.620 4.532
Pm 3.628 7.053 1.511
Pm 7.922 0.384 4.532
Pm 5.721 6.668 4.532
```

Peak list (10 most intense, 10 to 80 degrees two-theta, sorted by position)
2θ/deg  I_rel
27.20  23
29.57  25
31.04  100
40.61  16
48.08  21
53.39  22
57.46  23
58.33  17
74.66  8
78.86  13

4.
# Ac2La3Pm2
Calculated powder XRD pattern, a wavelength of 1.5418 Å. Input: the GGA-PBE geometry in Alexandria.

Structural model:
```
7
Lattice="9.278 -1.855 0.000 9.278 1.855 0.000 -4.364 0.000 7.877" Properties=species:S:1:pos:R:3 pbc="T T T"
Ac 0.234 0.000 1.796
Ac 13.958 0.000 6.081
La 3.701 0.000 2.860
La 7.096 0.000 3.939
La 10.491 0.000 5.017
Pm 6.304 0.000 0.315
Pm 7.889 0.000 7.562
```

Peak list (10 most intense, 10 to 80 degrees two-theta, sorted by position)
2θ/deg  I_rel
25.98  40
28.25  62
29.22  100
29.65  74
30.27  68
31.73  65
34.23  36
36.79  23
50.33  24
51.72  40

5.
# Ac6La3Pm
Calculated powder XRD pattern, a wavelength of 1.5418 Å. Input: the GGA-PBE geometry in Alexandria.

Structural model:
```
20
Lattice="8.570 4.948 3.261 -8.570 4.948 3.261 0.000 -9.896 3.261" Properties=species:S:1:pos:R:3 pbc="T T T"
Ac -2.564 -3.526 3.375
Ac -5.455 2.581 3.216
Ac 0.492 -6.015 3.216
Ac -4.963 -3.434 6.567
Ac -1.772 3.984 3.375
Ac -4.336 0.458 6.408
Ac 4.336 -0.458 3.375
Ac 1.772 -3.984 6.408
Ac 4.963 3.433 3.216
Ac -0.492 6.015 6.567
Ac 5.455 -2.581 6.567
Ac 2.564 3.526 6.408
La -2.507 0.247 2.962
La 1.039 -2.295 2.962
La 1.468 2.048 2.962
La -1.468 -2.048 6.821
La -1.039 2.295 6.821
La 2.507 -0.247 6.821
Pm 0.000 0.000 0.000
Pm 0.000 0.000 4.892
```

Peak list (10 most intense, 10 to 80 degrees two-theta, sorted by position)
2θ/deg  I_rel
27.35  33
27.74  100
32.02  79
45.67  27
46.17  28
54.05  13
54.50  27
54.72  14
57.29  14
76.54  10

6.
# AcLa7Pm2
Calculated powder XRD pattern, a wavelength of 1.5418 Å. Input: the GGA-PBE geometry in Alexandria.

Structural model:
```
10
Lattice="-2.885 3.934 8.418 2.885 -3.934 8.418 2.885 3.934 -8.418" Properties=species:S:1:pos:R:3 pbc="T T T"
Ac 0.000 0.000 0.000
La 2.885 1.579 -2.188
La 2.885 1.579 2.188
La 2.885 0.000 5.858
La 0.000 0.000 8.418
La 0.000 3.934 2.559
La 0.000 2.355 6.230
La 0.000 2.355 10.606
Pm 0.000 0.000 3.601
Pm 0.000 0.000 13.234
```

Peak list (10 most intense, 10 to 80 degrees two-theta, sorted by position)
2θ/deg  I_rel
27.96  47
28.60  100
30.74  23
31.00  52
31.12  28
31.83  54
37.67  19
44.50  21
53.67  17
65.34  19

7.
# Ac6La3Pm
Calculated powder XRD pattern, a wavelength of 1.5418 Å. Input: the GGA-PBE geometry in Alexandria.

Structural model:
```
20
Lattice="14.232 0.000 0.000 0.000 3.856 0.000 -2.771 0.000 15.254" Properties=species:S:1:pos:R:3 pbc="T T T"
Ac -0.828 0.964 4.793
Ac -0.246 0.964 13.417
Ac 2.508 2.892 4.542
Ac 2.055 2.892 10.880
Ac 4.226 2.892 1.129
Ac 3.948 0.964 7.863
Ac 7.513 2.892 7.391
Ac 7.235 0.964 14.125
Ac 9.406 0.964 4.374
Ac 8.953 0.964 10.712
Ac 11.708 2.892 1.837
Ac 12.289 2.892 10.461
La 0.844 0.964 1.487
La 0.401 2.892 7.687
La 3.650 0.964 13.638
La 7.811 2.892 1.615
La 11.060 0.964 7.567
La 10.617 2.892 13.767
Pm 5.777 0.964 4.216
Pm 5.684 2.892 11.038
```

Peak list (10 most intense, 10 to 80 degrees two-theta, sorted by position)
2θ/deg  I_rel
27.54  70
28.24  100
29.07  62
29.27  67
29.93  63
30.06  44
33.90  41
44.93  32
47.14  24
55.85  34

8.
# Ac2La2Pm
Calculated powder XRD pattern, a wavelength of 1.5418 Å. Input: the GGA-PBE geometry in Alexandria.

Structural model:
```
10
Lattice="6.714 0.000 0.000 0.000 6.182 0.000 -3.308 0.000 9.656" Properties=species:S:1:pos:R:3 pbc="T T T"
Ac -1.049 1.546 3.827
Ac 1.171 4.637 0.060
Ac 2.236 1.546 9.596
Ac 4.455 4.637 5.829
La 1.199 4.637 3.858
La 2.291 1.546 2.030
La 1.115 4.637 7.626
La 2.208 1.546 5.798
Pm -1.043 1.546 7.753
Pm 4.449 4.637 1.903
```

Peak list (10 most intense, 10 to 80 degrees two-theta, sorted by position)
2θ/deg  I_rel
26.56  23
26.69  12
28.88  38
30.30  100
30.41  49
39.67  24
47.04  20
52.10  33
56.15  24
56.85  16

9.
# Ac5La6Pm2
Calculated powder XRD pattern, a wavelength of 1.5418 Å. Input: the GGA-PBE geometry in Alexandria.

Structural model:
```
26
Lattice="12.183 0.000 0.000 0.000 22.357 0.000 0.000 0.000 3.831" Properties=species:S:1:pos:R:3 pbc="T T T"
Ac 0.000 0.000 0.000
Ac 0.630 6.501 0.000
Ac 2.351 12.934 0.000
Ac 3.740 1.755 0.000
Ac 5.461 17.680 0.000
Ac 6.092 11.179 0.000
Ac 6.722 4.678 0.000
Ac 8.443 20.602 0.000
Ac 9.832 9.424 0.000
Ac 11.553 15.856 0.000
La 0.687 3.238 1.916
La 1.011 9.788 1.916
La 2.298 19.500 0.000
La 3.793 8.322 0.000
La 5.080 20.967 1.916
La 5.404 14.417 1.916
La 6.779 7.941 1.916
La 7.103 1.391 1.916
La 8.390 14.036 0.000
La 9.885 2.857 0.000
La 11.172 12.569 1.916
La 11.496 19.119 1.916
Pm 2.518 16.382 1.916
Pm 3.574 5.204 1.916
Pm 8.609 17.154 1.916
Pm 9.666 5.975 1.916
```

Peak list (10 most intense, 10 to 80 degrees two-theta, sorted by position)
2θ/deg  I_rel
27.17  63
28.90  95
29.19  65
29.60  89
30.05  98
31.90  100
32.61  37
34.36  43
47.46  32
47.68  32

10.
# AcLa2PmPr6
Calculated powder XRD pattern, a wavelength of 1.5418 Å. Input: the GGA-PBE geometry in Alexandria.

Structural model:
```
20
Lattice="4.719 -7.883 0.000 4.719 7.883 0.000 -1.307 0.000 10.053" Properties=species:S:1:pos:R:3 pbc="T T T"
Ac 3.739 7.592 7.540
Ac 4.393 -7.592 2.513
La 1.642 0.882 5.459
La 2.295 -0.882 0.433
La 5.837 0.882 9.620
La 6.490 -0.882 4.594
Pm 4.393 1.475 2.513
Pm 3.739 -1.475 7.540
Pr 1.876 4.321 6.918
Pr 4.006 4.873 0.540
Pr 4.780 4.873 4.486
Pr 2.601 1.610 8.862
Pr 5.602 4.321 8.162
Pr 3.255 -1.610 3.835
Pr 4.877 1.610 6.217
Pr 2.530 -4.321 1.891
Pr 5.531 -1.610 1.191
Pr 3.352 -4.873 5.566
Pr 4.126 -4.873 9.513
Pr 6.255 -4.321 3.135
```

Peak list (10 most intense, 10 to 80 degrees two-theta, sorted by position)
2θ/deg  I_rel
26.80  15
27.15  32
28.95  33
29.41  42
29.93  100
30.23  29
30.87  15
32.08  37
36.23  15
57.13  15

11.
# Ac2La2PmPr
Calculated powder XRD pattern, a wavelength of 1.5418 Å. Input: the GGA-PBE geometry in Alexandria.

Structural model:
```
12
Lattice="6.898 0.000 0.000 0.000 18.897 0.000 0.000 0.000 3.664" Properties=species:S:1:pos:R:3 pbc="T T T"
Ac 1.516 3.557 0.000
Ac 1.933 13.006 1.832
Ac 4.965 5.891 1.832
Ac 5.382 15.340 0.000
La 1.464 6.833 1.832
La 1.985 16.282 0.000
La 4.913 2.615 0.000
La 5.434 12.064 1.832
Pm 0.000 9.449 0.000
Pm 3.449 0.000 1.832
Pr 0.000 0.000 0.000
Pr 3.449 9.449 1.832
```

Peak list (10 most intense, 10 to 80 degrees two-theta, sorted by position)
2θ/deg  I_rel
22.81  38
24.75  31
27.54  100
28.17  82
28.34  51
31.22  45
32.13  37
33.57  31
38.59  58
51.91  33

12.
# AcLaPm2Pr4
Calculated powder XRD pattern, a wavelength of 1.5418 Å. Input: the GGA-PBE geometry in Alexandria.

Structural model:
```
16
Lattice="7.481 0.000 0.000 -0.025 7.490 0.000 -0.001 -0.023 10.582" Properties=species:S:1:pos:R:3 pbc="T T T"
Ac 0.000 0.000 0.000
Ac 3.736 -0.008 5.289
La 3.723 3.723 10.582
La 3.716 7.489 0.002
Pm 7.467 3.732 5.293
Pm 3.727 3.735 5.291
Pm 7.477 -0.011 5.291
Pm 7.464 3.725 10.580
Pr 1.847 1.906 2.665
Pr 1.849 1.893 7.918
Pr 1.836 5.573 2.668
Pr 1.834 5.566 7.913
Pr 5.615 1.904 2.665
Pr 5.600 5.565 7.914
Pr 5.617 1.894 7.918
Pr 5.606 5.574 2.667
```

Peak list (10 most intense, 10 to 80 degrees two-theta, sorted by position)
2θ/deg  I_rel
29.23  100
33.85  34
33.93  17
48.63  25
48.72  12
57.70  18
57.83  26
60.64  10
78.71  4
78.84  10